# 1
Starting from a cell relaxed with PBE, the X-ray diffraction stick pattern of Mg2Ga6Os was calculated for Cu Kα (λ = 1.5418 Å).

Structural model:
Cell: 5.3571 5.3571 6.3965 Å, 90.00 90.00 120.00°
Space group P-3m1 (No. 164)
Inequivalent atoms, fractional coordinates:
Mg  0.3333  0.6667  0.4345 (multiplicity 2)
Ga  0.1684  0.3368  0.8263 (multiplicity 6)
Os  0.0000  0.0000  0.5000 (multiplicity 1)

Most intense lines, 10 to 90 degrees two-theta, by angle:
(1 0 0), 19.1°, I = 93.9
(0 1 1), 23.7°, I = 58.1
(1 0 2), 34.0°, I = 31.6
(1 1 1), 36.4°, I = 66.2
(0 2 1), 41.4°, I = 100.0
(0 0 3), 42.4°, I = 32.4
(1 1 2), 44.1°, I = 39.7
(2 0 2), 48.5°, I = 53.1
(2 2 0), 70.3°, I = 23.5
(2 2 3), 85.7°, I = 24.6

---

# 2
Starting from a cell relaxed with PBE, the X-ray diffraction stick pattern of Mg4Ga4Os was calculated for Cu Kα (λ = 1.5418 Å).

Structural model:
Cell: 8.417 8.124 5.665 Å, 90.00 113.75 90.00°
Space group Cm (No. 8)
Inequivalent atoms, fractional coordinates:
Mg  0.000  0.000  0.000 (multiplicity 2)
Mg  0.073  0.500  0.013 (multiplicity 2)
Mg  0.412  0.292  0.485 (multiplicity 4)
Ga  0.161  0.500  0.579 (multiplicity 2)
Ga  0.203  0.000  0.540 (multiplicity 2)
Ga  0.258  0.227  0.920 (multiplicity 4)
Os  0.353  0.000  0.242 (multiplicity 2)

Most intense lines, 10 to 90 degrees two-theta, by angle:
(1 1 0), 15.9°, I = 100.0
(1 1 -1), 19.7°, I = 52.3
(0 2 0), 21.9°, I = 24.6
(2 0 -1), 22.5°, I = 40.3
(2 0 0), 23.1°, I = 34.3
(0 2 1), 27.9°, I = 43.1
(2 2 -2), 39.9°, I = 66.9
(2 2 1), 40.9°, I = 69.3
(4 0 -1), 43.0°, I = 29.6
(0 4 0), 44.6°, I = 27.2

---

# 3
Starting from a cell relaxed with PBE, the X-ray diffraction stick pattern of MgGaP was calculated for Cu Kα (λ = 1.5418 Å).

Structural model:
Cell: 4.344 12.235 4.510 Å, 90.00 90.00 90.00°
Space group C222_1 (No. 20)
Inequivalent atoms, fractional coordinates:
Mg  0.000  0.237  0.250 (multiplicity 4)
Ga  0.142  0.500  0.000 (multiplicity 4)
P  0.000  0.140  0.750 (multiplicity 4)

Most intense lines, 10 to 90 degrees two-theta, by angle:
(0 2 0), 14.5°, I = 68.1
(0 4 0), 29.2°, I = 37.1
(1 1 1), 29.5°, I = 100.0
(1 3 0), 30.1°, I = 92.3
(1 3 1), 36.2°, I = 85.7
(0 2 2), 42.7°, I = 59.8
(1 1 2), 45.9°, I = 40.1
(1 5 1), 47.2°, I = 48.7
(2 2 1), 48.9°, I = 42.7
(2 6 1), 66.2°, I = 28.1

---

# 4
Starting from a cell relaxed with PBE, the X-ray diffraction stick pattern of MgGaP was calculated for Cu Kα (λ = 1.5418 Å).

Structural model:
Cell: 3.592 3.789 8.650 Å, 90.00 90.00 90.00°
Space group Pmmn (No. 59, origin choice 2)
Inequivalent atoms, fractional coordinates:
Mg  0.250  0.250  0.137 (multiplicity 2)
Ga  0.250  0.250  0.555 (multiplicity 2)
P  0.250  0.250  0.826 (multiplicity 2)

Most intense lines, 10 to 90 degrees two-theta, by angle:
(0 0 1), 10.2°, I = 63.8
(0 0 3), 31.0°, I = 31.8
(0 1 2), 31.4°, I = 16.8
(1 0 2), 32.4°, I = 15.5
(1 1 0), 34.4°, I = 100.0
(1 1 3), 47.0°, I = 37.8
(0 2 0), 48.0°, I = 18.8
(0 1 4), 48.5°, I = 18.9
(1 0 4), 49.2°, I = 21.3
(2 0 0), 50.8°, I = 15.7

---

# 5
Starting from a cell relaxed with PBE, the X-ray diffraction stick pattern of MgPa2Ga9 was calculated for Cu Kα (λ = 1.5418 Å).

Structural model:
Cell: 4.283 4.283 12.620 Å, 90.00 90.00 90.00°
Space group P4/mmm (No. 123)
Inequivalent atoms, fractional coordinates:
Mg  0.000  0.000  0.000 (multiplicity 1)
Pa  0.000  0.000  0.330 (multiplicity 2)
Ga  0.000  0.500  0.157 (multiplicity 4)
Ga  0.000  0.500  0.500 (multiplicity 2)
Ga  0.500  0.500  0.000 (multiplicity 1)
Ga  0.500  0.500  0.338 (multiplicity 2)

Most intense lines, 10 to 90 degrees two-theta, by angle:
(1 0 0), 20.7°, I = 10.3
(1 0 2), 25.1°, I = 10.3
(1 1 3), 36.6°, I = 100.0
(2 0 0), 42.2°, I = 33.9
(0 0 6), 43.0°, I = 15.3
(2 2 0), 61.2°, I = 11.2
(2 0 6), 61.8°, I = 20.6
(3 1 3), 73.4°, I = 25.5
(1 1 9), 74.6°, I = 11.1
(2 2 6), 77.7°, I = 10.6

---

# 6
Starting from a cell relaxed with PBE, the X-ray diffraction stick pattern of MgGa6Pb2 was calculated for Cu Kα (λ = 1.5418 Å).

Structural model:
Cell: 7.5288 7.5288 4.2698 Å, 90.00 90.00 120.00°
Space group P6/mmm (No. 191)
Inequivalent atoms, fractional coordinates:
Mg  0.0000  0.0000  0.0000 (multiplicity 1)
Ga  0.0000  0.3318  0.5000 (multiplicity 6)
Pb  0.3333  0.6667  0.0000 (multiplicity 2)

Most intense lines, 10 to 90 degrees two-theta, by angle:
(1 0 0), 13.6°, I = 25.1
(1 1 0), 23.6°, I = 10.7
(1 0 1), 24.9°, I = 13.7
(1 1 1), 31.7°, I = 100.0
(3 0 0), 41.6°, I = 42.8
(0 0 2), 42.3°, I = 20.3
(2 2 1), 53.2°, I = 23.4
(3 0 2), 60.8°, I = 28.9
(4 1 1), 69.7°, I = 20.9
(1 1 3), 70.8°, I = 10.0

---

# 7
Starting from a cell relaxed with PBE, the X-ray diffraction stick pattern of Mg12Ga2Pb5 was calculated for Cu Kα (λ = 1.5418 Å).

Structural model:
Cell: 16.258 6.814 9.942 Å, 90.00 108.38 90.00°
Space group C2/m (No. 12)
Inequivalent atoms, fractional coordinates:
Mg  0.019  0.000  0.177 (multiplicity 4)
Mg  0.074  0.500  0.802 (multiplicity 4)
Mg  0.145  0.239  0.546 (multiplicity 8)
Mg  0.180  0.248  0.090 (multiplicity 8)
Ga  0.000  0.321  0.000 (multiplicity 4)
Pb  0.000  0.500  0.500 (multiplicity 2)
Pb  0.160  0.000  0.814 (multiplicity 4)
Pb  0.203  0.000  0.344 (multiplicity 4)

Most intense lines, 10 to 90 degrees two-theta, by angle:
(3 1 0), 21.6°, I = 89.1
(1 1 -2), 22.1°, I = 100.0
(4 0 -2), 24.8°, I = 23.4
(2 0 2), 25.0°, I = 26.5
(0 2 0), 26.2°, I = 20.9
(2 0 -4), 36.1°, I = 25.4
(4 2 -2), 36.3°, I = 26.1
(2 2 2), 36.5°, I = 25.2
(5 1 -4), 42.4°, I = 20.7
(1 1 4), 42.7°, I = 17.5

---

# 8
Starting from a cell relaxed with PBE, the X-ray diffraction stick pattern of Mg7Ga2Pb2 was calculated for Cu Kα (λ = 1.5418 Å).

Structural model:
Cell: 7.069 8.750 8.478 Å, 90.00 100.79 90.00°
Space group C2/m (No. 12)
Inequivalent atoms, fractional coordinates:
Mg  0.000  0.000  0.000 (multiplicity 2)
Mg  0.117  0.000  0.360 (multiplicity 4)
Mg  0.220  0.306  0.176 (multiplicity 8)
Ga  0.114  0.500  0.874 (multiplicity 4)
Pb  0.000  0.306  0.500 (multiplicity 4)

Most intense lines, 10 to 90 degrees two-theta, by angle:
(0 0 1), 10.6°, I = 100.0
(1 1 0), 16.3°, I = 44.9
(0 0 2), 21.3°, I = 42.0
(0 2 1), 23.0°, I = 76.4
(2 0 -1), 25.9°, I = 40.8
(2 0 1), 29.6°, I = 40.6
(1 3 1), 35.8°, I = 64.7
(2 2 1), 36.2°, I = 39.3
(2 0 2), 36.7°, I = 87.8
(1 3 -2), 38.5°, I = 42.9